# 1
Calculated X-ray powder pattern
Compound: Y2Co5Si4
Radiation: Cu Kα (λ = 1.5418 Å)
Structure: a PBE-relaxed structure
Neutral-atom scattering factors, no anomalous dispersion.

Cell and atoms:
```
Y2Co5Si4
1.0
0.000 4.573 6.575
2.660 0.000 6.575
2.660 4.573 0.000
Y Co Si
2 5 4
Cartesian
2.660 4.573 1.743
2.660 4.573 11.406
1.330 2.287 0.000
1.330 2.287 3.287
1.330 2.287 6.575
2.660 4.573 6.575
3.990 6.860 9.862
2.660 3.170 4.845
2.660 3.170 8.304
2.660 5.977 4.845
2.660 5.977 8.304
```

Principal peaks in the range 2θ = 5–70°, by angle:
- 2θ = 28.12°, I 58
- 2θ = 33.57°, I 80
- 2θ = 34.59°, I 25
- 2θ = 39.18°, I 100
- 2θ = 39.42°, I 54
- 2θ = 39.80°, I 81
- 2θ = 43.78°, I 80
- 2θ = 48.83°, I 24
- 2θ = 55.94°, I 28
- 2θ = 60.38°, I 30

# 2
Calculated X-ray powder pattern
Compound: Y3Co2Si2
Radiation: Cu Kα (λ = 1.5418 Å)
Structure: a PBE-relaxed structure
Neutral-atom scattering factors, no anomalous dispersion.

Cell and atoms:
```
Y3Co2Si2
1.0
5.559 0.000 0.000
0.000 7.620 0.000
0.000 0.000 12.568
Y Co Si
12 8 8
Cartesian
0.712 1.894 3.142
0.712 1.916 9.426
2.019 4.630 7.566
2.019 4.630 11.286
2.019 6.800 1.282
2.019 6.800 5.002
3.540 0.820 7.566
3.540 0.820 11.286
3.540 2.990 1.282
3.540 2.990 5.002
4.847 5.704 3.142
4.847 5.726 9.426
0.734 4.020 1.084
0.734 4.020 5.201
0.734 7.410 7.368
0.734 7.410 11.485
4.826 0.210 1.084
4.826 0.210 5.201
4.826 3.600 7.368
4.826 3.600 11.485
0.599 1.905 0.000
0.599 1.905 6.284
1.913 4.548 3.142
1.913 6.883 9.426
3.646 0.738 3.142
3.646 3.072 9.426
4.960 5.715 0.000
4.960 5.715 6.284
```

Principal peaks in the range 2θ = 5–70°, by angle:
- 2θ = 24.37°, I 30
- 2θ = 31.77°, I 46
- 2θ = 34.34°, I 54
- 2θ = 34.85°, I 47
- 2θ = 35.10°, I 31
- 2θ = 35.71°, I 44
- 2θ = 37.09°, I 37
- 2θ = 38.99°, I 56
- 2θ = 40.72°, I 100
- 2θ = 43.18°, I 36

# 3
Calculated X-ray powder pattern
Compound: YCo2Si4
Radiation: Cu Kα (λ = 1.5418 Å)
Structure: a PBE-relaxed structure
Neutral-atom scattering factors, no anomalous dispersion.

Cell and atoms:
```
YCo2Si4
1.0
16.224 0.000 0.000
0.000 3.921 0.000
0.000 0.000 6.208
Y Co Si
4 8 16
Cartesian
2.283 0.980 0.075
5.829 2.941 3.179
10.395 0.980 3.029
13.941 2.941 6.133
0.557 2.941 4.634
3.439 0.980 3.034
4.673 2.941 6.138
7.555 0.980 1.530
8.670 2.941 4.678
11.551 0.980 0.070
12.786 2.941 3.174
15.667 0.980 1.574
0.437 2.941 0.851
1.079 0.980 3.272
2.941 2.941 4.267
3.254 2.941 1.802
4.858 0.980 4.906
5.171 0.980 1.163
7.034 2.941 0.168
7.676 0.980 3.955
8.549 2.941 2.253
9.191 0.980 6.040
11.053 2.941 5.045
11.367 2.941 1.302
12.970 0.980 4.406
13.283 0.980 1.941
15.146 2.941 2.936
15.788 0.980 5.357
```

Principal peaks in the range 2θ = 5–70°, by angle:
- 2θ = 25.23°, I 17
- 2θ = 30.84°, I 16
- 2θ = 31.70°, I 20
- 2θ = 36.45°, I 15
- 2θ = 38.62°, I 100
- 2θ = 38.83°, I 61
- 2θ = 40.52°, I 18
- 2θ = 41.59°, I 40
- 2θ = 46.31°, I 42
- 2θ = 63.98°, I 21

# 4
Calculated X-ray powder pattern
Compound: Zr3Co8Si
Radiation: Cu Kα (λ = 1.5418 Å)
Structure: a PBE-relaxed structure
Neutral-atom scattering factors, no anomalous dispersion.

Cell and atoms:
```
Zr3Co8Si
1.0
2.432 1.404 7.804
-2.432 1.404 7.804
0.000 -2.808 7.804
Zr Co Si
3 8 1
Cartesian
0.000 0.000 0.000
0.000 0.000 3.014
0.000 0.000 14.356
0.000 -1.410 5.328
-1.221 0.705 5.328
-1.217 -0.703 9.260
0.000 0.000 7.308
1.221 0.705 5.328
1.217 -0.703 9.260
0.000 1.406 9.260
0.000 0.000 19.029
0.000 0.000 11.342
```

Principal peaks in the range 2θ = 5–70°, by angle:
- 2θ = 28.50°, I 8
- 2θ = 34.23°, I 9
- 2θ = 36.96°, I 38
- 2θ = 37.42°, I 32
- 2θ = 43.67°, I 54
- 2θ = 43.87°, I 100
- 2θ = 44.26°, I 48
- 2θ = 45.79°, I 55
- 2θ = 46.55°, I 15
- 2θ = 66.91°, I 11

# 5
Calculated X-ray powder pattern
Compound: Zr6Co16Si7
Radiation: Cu Kα (λ = 1.5418 Å)
Structure: a PBE-relaxed structure
Neutral-atom scattering factors, no anomalous dispersion.

Cell and atoms:
```
Zr6Co16Si7
1.0
0.000 5.707 5.707
5.707 0.000 5.707
5.707 5.707 0.000
Zr Co Si
6 16 7
Cartesian
5.707 5.707 2.360
5.707 2.360 5.707
9.054 5.707 5.707
2.360 5.707 5.707
5.707 9.054 5.707
5.707 5.707 9.054
7.075 4.340 4.340
1.969 1.969 1.969
3.739 3.739 1.969
3.739 1.969 3.739
4.340 4.340 4.340
7.075 7.075 4.340
7.075 4.340 7.075
1.969 3.739 3.739
9.446 7.676 7.676
4.340 7.075 4.340
4.340 4.340 7.075
7.075 7.075 7.075
7.676 9.446 7.676
7.676 7.676 9.446
9.446 9.446 9.446
4.340 7.075 7.075
2.854 2.854 0.000
2.854 0.000 2.854
5.707 2.854 2.854
0.000 2.854 2.854
2.854 5.707 2.854
2.854 2.854 5.707
5.707 5.707 5.707
```

Principal peaks in the range 2θ = 5–70°, by angle:
- 2θ = 27.06°, I 27
- 2θ = 34.24°, I 9
- 2θ = 38.64°, I 24
- 2θ = 41.09°, I 100
- 2θ = 44.92°, I 94
- 2θ = 47.10°, I 19
- 2θ = 47.81°, I 17
- 2θ = 52.57°, I 12
- 2θ = 67.12°, I 9
- 2θ = 69.93°, I 21

# 6
Calculated X-ray powder pattern
Compound: Zr3Co3Si
Radiation: Cu Kα (λ = 1.5418 Å)
Structure: a PBE-relaxed structure
Neutral-atom scattering factors, no anomalous dispersion.

Cell and atoms:
```
Zr3Co3Si
1.0
4.812 -1.788 0.000
4.812 1.788 0.000
-4.218 0.000 12.956
Zr Co Si
6 6 2
Cartesian
-1.512 0.000 4.914
-2.845 0.000 11.996
1.379 0.000 2.874
4.026 0.000 10.082
8.250 0.000 0.960
6.918 0.000 8.042
1.337 0.000 6.070
-0.172 0.000 11.997
1.345 0.000 10.035
4.061 0.000 2.921
5.577 0.000 0.959
4.068 0.000 6.886
0.027 0.000 8.038
5.378 0.000 4.918
```

Principal peaks in the range 2θ = 5–70°, by angle:
- 2θ = 35.85°, I 64
- 2θ = 36.45°, I 100
- 2θ = 37.42°, I 31
- 2θ = 37.74°, I 73
- 2θ = 42.21°, I 25
- 2θ = 43.95°, I 29
- 2θ = 44.46°, I 46
- 2θ = 45.96°, I 24
- 2θ = 49.23°, I 24
- 2θ = 51.08°, I 36

# 7
Calculated X-ray powder pattern
Compound: Zr4Co7Si6
Radiation: Cu Kα (λ = 1.5418 Å)
Structure: a PBE-relaxed structure
Neutral-atom scattering factors, no anomalous dispersion.

Cell and atoms:
```
Zr4Co7Si6
1.0
-3.875 3.875 3.875
3.875 -3.875 3.875
3.875 3.875 -3.875
Zr Co Si
4 7 6
Cartesian
1.937 1.937 -1.937
1.937 -1.937 1.937
-1.937 1.937 1.937
1.937 1.937 1.937
0.000 0.000 0.000
3.875 1.937 0.000
3.875 0.000 1.937
1.937 3.875 0.000
1.937 0.000 3.875
0.000 3.875 1.937
0.000 1.937 3.875
2.525 0.000 0.000
5.224 0.000 0.000
0.000 2.525 0.000
0.000 0.000 2.525
0.000 5.224 0.000
0.000 0.000 5.224
```

Principal peaks in the range 2θ = 5–70°, by angle:
- 2θ = 16.18°, I 8
- 2θ = 28.21°, I 13
- 2θ = 32.68°, I 40
- 2θ = 40.32°, I 100
- 2θ = 43.71°, I 26
- 2θ = 46.90°, I 63
- 2θ = 52.83°, I 7
- 2θ = 55.63°, I 13
- 2θ = 58.33°, I 8
- 2θ = 68.49°, I 32

# 8
Calculated X-ray powder pattern
Compound: Zr4CoSi
Radiation: Cu Kα (λ = 1.5418 Å)
Structure: a PBE-relaxed structure
Neutral-atom scattering factors, no anomalous dispersion.

Cell and atoms:
```
Zr4CoSi
1.0
-3.274 3.274 2.643
3.274 -3.274 2.643
3.274 3.274 -2.643
Zr Co Si
4 1 1
Cartesian
2.215 -1.059 1.322
4.333 1.059 1.322
1.059 2.215 1.322
-1.059 4.333 1.322
0.000 0.000 2.643
0.000 0.000 0.000
```

Principal peaks in the range 2θ = 5–70°, by angle:
- 2θ = 33.92°, I 13
- 2θ = 35.03°, I 100
- 2θ = 38.90°, I 6
- 2θ = 39.25°, I 17
- 2θ = 43.72°, I 26
- 2θ = 44.03°, I 21
- 2θ = 59.94°, I 5
- 2θ = 60.91°, I 15
- 2θ = 61.41°, I 19
- 2θ = 67.28°, I 8

# 9
Calculated X-ray powder pattern
Compound: SmCo13
Radiation: Cu Kα (λ = 1.5418 Å)
Structure: a PBE-relaxed structure
Neutral-atom scattering factors, no anomalous dispersion.

Cell and atoms:
```
SmCo13
1.0
0.000 5.610 5.610
5.610 0.000 5.610
5.610 5.610 0.000
Sm Co
2 26
Cartesian
2.805 2.805 2.805
8.414 8.414 8.414
0.000 0.000 0.000
5.610 4.276 1.994
9.226 5.610 4.276
6.944 1.994 5.610
6.944 5.610 3.616
5.610 3.616 4.276
7.603 4.276 5.610
5.610 6.944 1.994
4.276 1.994 5.610
9.226 5.610 6.944
4.276 5.610 3.616
7.603 6.944 5.610
5.610 3.616 6.944
5.610 5.610 5.610
5.610 7.603 4.276
3.616 4.276 5.610
6.944 5.610 7.603
1.994 5.610 4.276
6.944 9.226 5.610
5.610 4.276 9.226
3.616 6.944 5.610
5.610 7.603 6.944
4.276 5.610 7.603
4.276 9.226 5.610
1.994 5.610 6.944
5.610 6.944 9.226
```

Principal peaks in the range 2θ = 5–70°, by angle:
- 2θ = 27.54°, I 11
- 2θ = 35.79°, I 60
- 2θ = 39.34°, I 100
- 2θ = 47.97°, I 99
- 2θ = 48.70°, I 17
- 2θ = 51.52°, I 25
- 2θ = 56.86°, I 14
- 2θ = 59.41°, I 16
- 2θ = 61.89°, I 18
- 2θ = 69.03°, I 16

# 10
Calculated X-ray powder pattern
Compound: Sm2Co7
Radiation: Cu Kα (λ = 1.5418 Å)
Structure: a PBE-relaxed structure
Neutral-atom scattering factors, no anomalous dispersion.

Cell and atoms:
```
Sm2Co7
1.0
5.016 0.000 0.000
-2.508 4.344 0.000
0.000 0.000 24.278
Sm Co
8 28
Cartesian
0.000 2.896 0.673
0.000 2.896 4.202
0.000 2.896 7.937
0.000 2.896 11.467
2.508 1.448 12.812
2.508 1.448 16.341
2.508 1.448 20.076
2.508 1.448 23.606
0.000 0.000 0.000
0.000 0.000 4.081
0.000 0.000 8.058
0.000 0.000 12.139
0.000 0.000 16.221
0.000 0.000 20.197
0.000 1.441 14.270
0.000 1.442 18.209
0.000 1.441 22.147
-1.260 3.623 14.270
-1.259 3.622 18.209
-1.260 3.623 22.147
1.248 0.720 2.131
1.249 0.721 6.070
1.248 0.720 10.008
0.000 2.896 16.230
0.000 2.896 20.188
2.508 1.448 4.090
2.508 1.448 8.049
1.260 3.623 14.270
1.259 3.622 18.209
1.260 3.623 22.147
3.768 0.720 2.131
3.766 0.721 6.070
3.768 0.720 10.008
2.508 2.903 2.131
2.508 2.901 6.070
2.508 2.903 10.008
```

Principal peaks in the range 2θ = 5–70°, by angle:
- 2θ = 33.05°, I 62
- 2θ = 35.81°, I 48
- 2θ = 41.58°, I 13
- 2θ = 41.76°, I 31
- 2θ = 42.40°, I 100
- 2θ = 44.80°, I 15
- 2θ = 45.77°, I 13
- 2θ = 62.60°, I 20
- 2θ = 65.97°, I 18
- 2θ = 68.88°, I 22

# 11
Calculated X-ray powder pattern
Compound: Sm3Co2
Radiation: Cu Kα (λ = 1.5418 Å)
Structure: a PBE-relaxed structure
Neutral-atom scattering factors, no anomalous dispersion.

Cell and atoms:
```
Sm3Co2
1.0
2.005 -7.259 0.000
2.005 7.259 0.000
0.000 0.000 4.113
Sm Co
3 2
Cartesian
0.000 0.000 0.000
2.005 2.139 2.056
2.005 -2.139 2.056
2.005 4.190 0.000
2.005 -4.190 0.000
```

Principal peaks in the range 2θ = 5–70°, by angle:
- 2θ = 28.92°, I 59
- 2θ = 31.77°, I 100
- 2θ = 32.91°, I 79
- 2θ = 36.38°, I 24
- 2θ = 38.27°, I 20
- 2θ = 44.03°, I 26
- 2θ = 45.23°, I 24
- 2θ = 53.54°, I 22
- 2θ = 54.59°, I 18
- 2θ = 57.06°, I 32

What did the third record say?
Calculated X-ray powder pattern
Compound: YCo2Si4
Radiation: Cu Kα (λ = 1.5418 Å)
Structure: a PBE-relaxed structure
Neutral-atom scattering factors, no anomalous dispersion.

Cell and atoms:
```
YCo2Si4
1.0
16.224 0.000 0.000
0.000 3.921 0.000
0.000 0.000 6.208
Y Co Si
4 8 16
Cartesian
2.283 0.980 0.075
5.829 2.941 3.179
10.395 0.980 3.029
13.941 2.941 6.133
0.557 2.941 4.634
3.439 0.980 3.034
4.673 2.941 6.138
7.555 0.980 1.530
8.670 2.941 4.678
11.551 0.980 0.070
12.786 2.941 3.174
15.667 0.980 1.574
0.437 2.941 0.851
1.079 0.980 3.272
2.941 2.941 4.267
3.254 2.941 1.802
4.858 0.980 4.906
5.171 0.980 1.163
7.034 2.941 0.168
7.676 0.980 3.955
8.549 2.941 2.253
9.191 0.980 6.040
11.053 2.941 5.045
11.367 2.941 1.302
12.970 0.980 4.406
13.283 0.980 1.941
15.146 2.941 2.936
15.788 0.980 5.357
```

Principal peaks in the range 2θ = 5–70°, by angle:
- 2θ = 25.23°, I 17
- 2θ = 30.84°, I 16
- 2θ = 31.70°, I 20
- 2θ = 36.45°, I 15
- 2θ = 38.62°, I 100
- 2θ = 38.83°, I 61
- 2θ = 40.52°, I 18
- 2θ = 41.59°, I 40
- 2θ = 46.31°, I 42
- 2θ = 63.98°, I 21

Repeat the fourth record exactly.
Calculated X-ray powder pattern
Compound: Zr3Co8Si
Radiation: Cu Kα (λ = 1.5418 Å)
Structure: a PBE-relaxed structure
Neutral-atom scattering factors, no anomalous dispersion.

Cell and atoms:
```
Zr3Co8Si
1.0
2.432 1.404 7.804
-2.432 1.404 7.804
0.000 -2.808 7.804
Zr Co Si
3 8 1
Cartesian
0.000 0.000 0.000
0.000 0.000 3.014
0.000 0.000 14.356
0.000 -1.410 5.328
-1.221 0.705 5.328
-1.217 -0.703 9.260
0.000 0.000 7.308
1.221 0.705 5.328
1.217 -0.703 9.260
0.000 1.406 9.260
0.000 0.000 19.029
0.000 0.000 11.342
```

Principal peaks in the range 2θ = 5–70°, by angle:
- 2θ = 28.50°, I 8
- 2θ = 34.23°, I 9
- 2θ = 36.96°, I 38
- 2θ = 37.42°, I 32
- 2θ = 43.67°, I 54
- 2θ = 43.87°, I 100
- 2θ = 44.26°, I 48
- 2θ = 45.79°, I 55
- 2θ = 46.55°, I 15
- 2θ = 66.91°, I 11